# 1
# InH5Os
Calculated powder X-ray diffraction pattern, Cu Ka. Input: a crystal structure in Alexandria, relaxed with PBE.

Structure:
```
data_InH5Os
_chemical_formula_sum 'In2 H10 Os2'
_space_group_name_H-M_alt 'I -4 m 2'
_space_group_IT_number 119
_space_group_name_Hall 'I -4 -2'
_cell_length_a 5.738
_cell_length_b 5.738
_cell_length_c 3.757
_cell_angle_alpha 90.00
_cell_angle_beta 90.00
_cell_angle_gamma 90.00
loop_
_atom_site_label
_atom_site_type_symbol
_atom_site_fract_x
_atom_site_fract_y
_atom_site_fract_z
_atom_site_occupancy
In1 In 0.000 0.000 0.000 1
H1 H 0.000 0.229 0.599 1
H2 H 0.000 0.500 0.250 1
Os1 Os 0.000 0.500 0.750 1
```

Most intense lines, 10 to 80 degrees two-theta, in order of falling intensity:
Position (°2θ)	I_rel	h k l
28.4	100	1 0 1
31.2	77	2 0 0
42.7	67	2 1 1
53.8	50	1 1 2
72.4	41	3 1 2
44.7	28	2 2 0
63.5	21	3 2 1
73.9	13	4 2 0

# 2
# SrInPH
Calculated powder X-ray diffraction pattern, Cu Ka. Input: a crystal structure in Alexandria, relaxed with PBE.

Structure:
```
data_SrInPH
_chemical_formula_sum 'Sr2 In2 P2 H2'
_space_group_name_H-M_alt 'P 63 m c'
_space_group_IT_number 186
_space_group_name_Hall 'P 6c -2c'
_cell_length_a 4.5752
_cell_length_b 4.5752
_cell_length_c 9.9696
_cell_angle_alpha 90.00
_cell_angle_beta 90.00
_cell_angle_gamma 120.00
loop_
_atom_site_label
_atom_site_type_symbol
_atom_site_fract_x
_atom_site_fract_y
_atom_site_fract_z
_atom_site_occupancy
Sr1 Sr 0.3333 0.6667 0.0000 1
In1 In 0.0000 0.0000 0.2624 1
P1 P 0.3333 0.6667 0.3111 1
H1 H 0.0000 0.0000 0.0676 1
```

Most intense lines, 10 to 80 degrees two-theta, in order of falling intensity:
Position (°2θ)	I_rel	h k l
28.8	100	1 0 2
39.4	55	1 1 0
24.2	36	1 0 1
54.4	33	1 1 4
35.2	28	1 0 3
49.5	22	2 0 2
65.0	19	2 1 2
36.0	19	0 0 4

# 3
# In2HPd3
Calculated powder X-ray diffraction pattern, Cu Ka. Input: a crystal structure in Alexandria, relaxed with PBE.

Structure:
```
data_In2HPd3
_chemical_formula_sum 'In16 H8 Pd24'
_space_group_name_H-M_alt 'F m m m'
_space_group_IT_number 69
_space_group_name_Hall '-F 2 2'
_cell_length_a 7.075
_cell_length_b 7.982
_cell_length_c 13.581
_cell_angle_alpha 90.00
_cell_angle_beta 90.00
_cell_angle_gamma 90.00
loop_
_atom_site_label
_atom_site_type_symbol
_atom_site_fract_x
_atom_site_fract_y
_atom_site_fract_z
_atom_site_occupancy
In1 In 0.207 0.000 0.000 1
In2 In 0.250 0.250 0.250 1
H1 H 0.000 0.000 0.322 1
Pd1 Pd 0.000 0.000 0.187 1
Pd2 Pd 0.000 0.181 0.400 1
```

Most intense lines, 10 to 80 degrees two-theta, in order of falling intensity:
Position (°2θ)	I_rel	h k l
36.7	100	2 0 4
36.4	85	2 2 2
46.1	35	0 2 6
37.2	34	1 1 5
51.7	17	4 0 0
71.7	17	4 2 6
25.9	15	0 2 2
55.9	13	3 3 3

# 4
# InH5Pd4
Calculated powder X-ray diffraction pattern, Cu Ka. Input: a crystal structure in Alexandria, relaxed with PBE.

Structure:
```
data_InH5Pd4
_chemical_formula_sum 'In2 H10 Pd8'
_space_group_name_H-M_alt 'P m m n'
_space_group_IT_number 59
_cell_length_a 5.593
_cell_length_b 8.193
_cell_length_c 4.594
_cell_angle_alpha 90.00
_cell_angle_beta 90.00
_cell_angle_gamma 90.00
loop_
_space_group_symop_operation_xyz
'x,y,z'
'-x,-y,-z'
'-x+1/2,-y+1/2,z'
'x+1/2,y+1/2,-z'
'x+1/2,-y,-z'
'-x+1/2,y,z'
'-x,y+1/2,-z'
'x,-y+1/2,z'
loop_
_atom_site_label
_atom_site_type_symbol
_atom_site_fract_x
_atom_site_fract_y
_atom_site_fract_z
_atom_site_occupancy
In1 In 0.250 0.250 0.158 1
H1 H 0.023 0.546 0.226 1
H2 H 0.250 0.750 0.622 1
Pd1 Pd 0.005 0.750 0.352 1
Pd2 Pd 0.250 0.556 0.889 1
```

Most intense lines, 10 to 80 degrees two-theta, in order of falling intensity:
Position (°2θ)	I_rel	h k l
39.3	100	2 1 1
37.7	69	2 0 1
33.4	65	1 2 1
40.8	64	0 1 2
36.6	52	1 3 0
29.2	41	0 2 1
48.3	37	1 2 2
41.7	36	1 3 1

# 5
# InHPd6
Calculated powder X-ray diffraction pattern, Cu Ka. Input: a crystal structure in Alexandria, relaxed with PBE.

Structure:
```
data_InHPd6
_chemical_formula_sum 'In3 H3 Pd18'
_space_group_name_H-M_alt 'R -3 m'
_space_group_IT_number 166
_space_group_name_Hall '-R 3 2"'
_cell_length_a 7.6288
_cell_length_b 7.6288
_cell_length_c 7.0873
_cell_angle_alpha 90.00
_cell_angle_beta 90.00
_cell_angle_gamma 120.00
loop_
_atom_site_label
_atom_site_type_symbol
_atom_site_fract_x
_atom_site_fract_y
_atom_site_fract_z
_atom_site_occupancy
In1 In 0.0000 0.0000 0.0000 1
H1 H 0.0000 0.0000 0.5000 1
Pd1 Pd 0.0878 0.5439 0.3280 1
```

Most intense lines, 10 to 80 degrees two-theta, in order of falling intensity:
Position (°2θ)	I_rel	h k l
38.2	100	2 1 1
44.4	64	1 2 2
38.1	40	0 0 3
64.5	21	2 1 4
72.8	14	0 5 1
74.6	13	3 3 0
77.0	12	5 0 2
77.4	12	1 2 5

# 6
# InHPd3
Calculated powder X-ray diffraction pattern, Cu Ka. Input: a crystal structure in Alexandria, relaxed with PBE.

Structure:
```
data_InHPd3
_chemical_formula_sum 'In4 H4 Pd12'
_space_group_name_H-M_alt 'C 1 2/m 1'
_space_group_IT_number 12
_space_group_name_Hall '-C 2y'
_cell_length_a 17.255
_cell_length_b 3.903
_cell_length_c 4.199
_cell_angle_alpha 90.00
_cell_angle_beta 103.45
_cell_angle_gamma 90.00
loop_
_atom_site_label
_atom_site_type_symbol
_atom_site_fract_x
_atom_site_fract_y
_atom_site_fract_z
_atom_site_occupancy
In1 In 0.072 0.000 0.320 1
H1 H 0.181 0.500 0.892 1
Pd1 Pd 0.058 0.500 0.808 1
Pd2 Pd 0.186 0.500 0.436 1
Pd3 Pd 0.189 0.000 0.938 1
```

Most intense lines, 10 to 80 degrees two-theta, in order of falling intensity:
Position (°2θ)	I_rel	h k l
38.0	100	3 1 1
38.2	98	5 1 -1
43.1	69	2 0 -2
65.3	39	2 2 -2
46.5	28	0 2 0
75.4	24	1 1 3
76.0	23	7 1 -3
62.2	11	6 0 2

# 7
# InH2Pd4
Calculated powder X-ray diffraction pattern, Cu Ka. Input: a crystal structure in Alexandria, relaxed with PBE.

Structure:
```
data_InH2Pd4
_chemical_formula_sum 'In2 H4 Pd8'
_space_group_name_H-M_alt 'P 1'
_space_group_IT_number 1
_space_group_name_Hall 'P 1'
_cell_length_a 4.883
_cell_length_b 5.199
_cell_length_c 7.466
_cell_angle_alpha 73.32
_cell_angle_beta 76.28
_cell_angle_gamma 83.77
loop_
_atom_site_label
_atom_site_type_symbol
_atom_site_fract_x
_atom_site_fract_y
_atom_site_fract_z
_atom_site_occupancy
In1 In 0.000 0.000 0.000 1
In2 In 0.451 0.092 0.341 1
H1 H 0.223 0.534 0.997 1
H2 H 0.696 0.454 0.680 1
H3 H 0.728 0.490 0.024 1
H4 H 0.868 0.892 0.623 1
Pd1 Pd 0.475 0.500 0.517 1
Pd2 Pd 0.475 0.718 0.124 1
Pd3 Pd 0.485 0.907 0.715 1
Pd4 Pd 0.494 0.293 0.930 1
Pd5 Pd 0.965 0.380 0.216 1
Pd6 Pd 0.975 0.794 0.399 1
Pd7 Pd 0.981 0.214 0.613 1
Pd8 Pd 0.999 0.609 0.810 1
```

Most intense lines, 10 to 80 degrees two-theta, in order of falling intensity:
Position (°2θ)	I_rel	h k l
37.7	100	1 -1 2
38.0	95	2 0 0
42.0	37	-1 2 1
42.5	34	1 1 -2
47.3	25	2 1 3
74.2	18	-3 2 1
73.6	13	2 -3 1
60.8	12	0 3 -1

# 8
# PmInH4Pd6
Calculated powder X-ray diffraction pattern, Cu Ka. Input: a crystal structure in Alexandria, relaxed with PBE.

Structure:
```
data_PmInH4Pd6
_chemical_formula_sum 'Pm1 In1 H4 Pd6'
_space_group_name_H-M_alt 'P 6/m m m'
_space_group_IT_number 191
_space_group_name_Hall '-P 6 2'
_cell_length_a 5.4345
_cell_length_b 5.4345
_cell_length_c 6.5345
_cell_angle_alpha 90.00
_cell_angle_beta 90.00
_cell_angle_gamma 120.00
loop_
_atom_site_label
_atom_site_type_symbol
_atom_site_fract_x
_atom_site_fract_y
_atom_site_fract_z
_atom_site_occupancy
Pm1 Pm 0.0000 0.0000 0.0000 1
In1 In 0.0000 0.0000 0.5000 1
H1 H 0.3333 0.6667 0.1508 1
Pd1 Pd 0.0000 0.5000 0.2831 1
```

Most intense lines, 10 to 80 degrees two-theta, in order of falling intensity:
Position (°2θ)	I_rel	h k l
38.2	100	2 0 0
33.4	75	1 0 2
43.3	36	1 1 2
59.1	28	2 1 2
70.1	19	2 0 4
69.1	17	2 2 0
47.6	14	2 0 2
57.7	12	2 0 3

# 9
# InHPdPt
Calculated powder X-ray diffraction pattern, Cu Ka. Input: a crystal structure in Alexandria, relaxed with PBE.

Structure:
```
data_InHPdPt
_chemical_formula_sum 'In2 H2 Pd2 Pt2'
_space_group_name_H-M_alt 'C 1 m 1'
_space_group_IT_number 8
_space_group_name_Hall 'C -2y'
_cell_length_a 10.394
_cell_length_b 3.398
_cell_length_c 3.289
_cell_angle_alpha 90.00
_cell_angle_beta 108.34
_cell_angle_gamma 90.00
loop_
_atom_site_label
_atom_site_type_symbol
_atom_site_fract_x
_atom_site_fract_y
_atom_site_fract_z
_atom_site_occupancy
In1 In 0.000 0.000 0.000 1
H1 H 0.243 0.500 0.242 1
Pd1 Pd 0.348 0.000 0.349 1
Pt1 Pt 0.156 0.500 0.656 1
```

Most intense lines, 10 to 80 degrees two-theta, in order of falling intensity:
Position (°2θ)	I_rel	h k l
38.1	100	1 1 -1
38.7	47	2 0 1
68.4	17	2 2 1
69.6	16	1 1 2
69.7	16	5 1 -2
55.9	15	2 0 -2
54.0	9	0 2 0
27.8	5	1 1 0

# 10
# InSbHPd4
Calculated powder X-ray diffraction pattern, Cu Ka. Input: a crystal structure in Alexandria, relaxed with PBE.

Structure:
```
data_InSbHPd4
_chemical_formula_sum 'In4 Sb4 H4 Pd16'
_space_group_name_H-M_alt 'C m c m'
_space_group_IT_number 63
_space_group_name_Hall '-C 2c 2'
_cell_length_a 5.699
_cell_length_b 13.750
_cell_length_c 5.699
_cell_angle_alpha 90.00
_cell_angle_beta 90.00
_cell_angle_gamma 90.00
loop_
_atom_site_label
_atom_site_type_symbol
_atom_site_fract_x
_atom_site_fract_y
_atom_site_fract_z
_atom_site_occupancy
In1 In 0.000 0.099 0.250 1
Sb1 Sb 0.000 0.399 0.250 1
H1 H 0.000 0.255 0.750 1
Pd1 Pd 0.000 0.096 0.750 1
Pd2 Pd 0.000 0.406 0.750 1
Pd3 Pd 0.250 0.250 0.000 1
```

Most intense lines, 10 to 80 degrees two-theta, in order of falling intensity:
Position (°2θ)	I_rel	h k l
41.1	100	2 4 0
34.1	72	2 2 0
45.0	54	2 0 2
61.3	34	2 6 2
39.3	32	0 6 0
77.0	21	2 10 0
31.4	19	2 0 0
65.5	17	4 0 0